(1)
The following is a simulated powder X-ray diffraction pattern of Te3MoWSe. It was derived from a crystal structure in the Materials Project, relaxed with GGA-PBE, using a wavelength of 1.5418 Å.
Peak positions follow from Bragg's law for the DFT cell and can differ from measured ones.

Structure:
Cell lengths 3.5007, 3.5007, 39.6122 Å; angles 90.00, 90.00, 120.00 degrees
Fractional coordinates of all 12 atoms:
Te 0.0000 0.0000 0.0000
Te 0.0000 0.0000 0.0924
Te 0.6667 0.3333 0.1876
Te 0.6667 0.3333 0.2806
Te 0.6667 0.3333 0.5633
Te 0.6667 0.3333 0.6563
Mo 0.6667 0.3333 0.0462
Mo 0.6667 0.3333 0.4220
W 0.0000 0.0000 0.2341
W 0.0000 0.0000 0.6098
Se 0.0000 0.0000 0.3811
Se 0.0000 0.0000 0.4629

Largest 10 diffraction maxima, in order of falling intensity, 2θ from 10° to 90°:
two_theta	Rel. int.	hkl
34.70	100	0 1 8
11.17	98	0 0 5
42.04	64	1 0 13
29.48	51	1 0 0
52.27	39	1 1 0
43.76	20	0 1 14
73.86	18	1 1 21
64.26	17	2 0 8
31.60	17	1 0 5
37.35	16	0 1 10

(2)
The following is a simulated powder X-ray diffraction pattern of Te2MoWSe2. It was derived from a crystal structure in the Materials Project, relaxed with GGA-PBE, using a wavelength of 1.5418 Å.
Peak positions follow from Bragg's law for the DFT cell and can differ from measured ones.

Structure:
Cell lengths 3.4384, 3.4384, 39.1414 Å; angles 90.00, 90.00, 120.00 degrees
Fractional coordinates of all 12 atoms:
Te 0.0000 0.0000 0.0000
Te 0.0000 0.0000 0.0948
Te 0.3333 0.6667 0.8118
Te 0.3333 0.6667 0.9071
Mo 0.0000 0.0000 0.4838
Mo 0.3333 0.6667 0.0474
W 0.0000 0.0000 0.8595
W 0.3333 0.6667 0.6716
Se 0.0000 0.0000 0.6297
Se 0.0000 0.0000 0.7135
Se 0.3333 0.6667 0.4419
Se 0.3333 0.6667 0.5256

Largest 10 diffraction maxima, in order of falling intensity, 2θ from 10° to 90°:
two_theta	Rel. int.	hkl
11.30	100	0 0 5
35.28	89	0 1 8
42.71	58	1 0 13
30.03	52	1 0 0
53.30	37	1 1 0
44.45	21	0 1 14
13.57	19	0 0 6
36.57	17	0 1 9
75.19	16	1 1 21
65.54	14	2 0 8

(3)
The following is a simulated powder X-ray diffraction pattern of Te2MoWSe2. It was derived from a crystal structure in the Materials Project, relaxed with GGA-PBE, using a wavelength of 1.5418 Å.
Peak positions follow from Bragg's law for the DFT cell and can differ from measured ones.

Structure:
Cell lengths 3.4376, 3.4376, 39.1411 Å; angles 90.00, 90.00, 120.00 degrees
Fractional coordinates of all 12 atoms:
Te 0.0000 0.0000 0.0000
Te 0.0000 0.0000 0.0953
Te 0.3333 0.6667 0.1883
Te 0.3333 0.6667 0.2830
Mo 0.0000 0.0000 0.2356
Mo 0.0000 0.0000 0.8599
W 0.3333 0.6667 0.0477
W 0.3333 0.6667 0.4235
Se 0.0000 0.0000 0.3815
Se 0.0000 0.0000 0.4654
Se 0.3333 0.6667 0.8180
Se 0.3333 0.6667 0.9016

Largest 10 diffraction maxima, in order of falling intensity, 2θ from 10° to 90°:
two_theta	Rel. int.	hkl
11.30	100	0 0 5
35.29	93	1 0 8
42.71	60	1 0 13
30.04	51	1 0 0
53.31	38	1 1 0
44.45	19	0 1 14
36.58	17	1 0 9
75.20	17	1 1 21
32.17	16	1 0 5
65.55	15	0 2 8

(4)
The following is a simulated powder X-ray diffraction pattern of Te4MoW3Se4. It was derived from a crystal structure in the Materials Project, relaxed with GGA-PBE, using a wavelength of 1.5418 Å.
Peak positions follow from Bragg's law for the DFT cell and can differ from measured ones.

Structure:
Cell lengths 3.4388, 3.4388, 39.1476 Å; angles 90.00, 90.00, 120.00 degrees
Fractional coordinates of all 12 atoms:
Te 0.0000 0.0000 0.0000
Te 0.0000 0.0000 0.0953
Te 0.0000 0.0000 0.3758
Te 0.0000 0.0000 0.4710
Mo 0.0000 0.0000 0.8598
W 0.0000 0.0000 0.2355
W 0.3333 0.6667 0.0476
W 0.3333 0.6667 0.4234
Se 0.3333 0.6667 0.1936
Se 0.3333 0.6667 0.2774
Se 0.3333 0.6667 0.8180
Se 0.3333 0.6667 0.9015

Largest 10 diffraction maxima, in order of falling intensity, 2θ from 10° to 90°:
two_theta	Rel. int.	hkl
11.30	100	0 0 5
35.28	85	1 0 8
42.70	53	1 0 13
30.02	44	1 0 0
53.29	33	1 1 0
44.44	19	0 1 14
13.57	18	0 0 6
75.17	15	1 1 21
32.16	14	1 0 5
65.53	14	2 0 8

(5)
The following is a simulated powder X-ray diffraction pattern of Te3MoWSe. It was derived from a crystal structure in the Materials Project, relaxed with GGA-PBE, using a wavelength of 1.5418 Å.
Peak positions follow from Bragg's law for the DFT cell and can differ from measured ones.

Structure:
Cell lengths 3.5000, 3.5000, 39.6045 Å; angles 90.00, 90.00, 120.00 degrees
Fractional coordinates of all 12 atoms:
Te 0.0000 0.0000 0.0000
Te 0.0000 0.0000 0.0924
Te 0.0000 0.0000 0.3755
Te 0.0000 0.0000 0.4684
Te 0.6667 0.3333 0.5633
Te 0.6667 0.3333 0.6563
Mo 0.0000 0.0000 0.2341
Mo 0.6667 0.3333 0.0462
W 0.0000 0.0000 0.6098
W 0.6667 0.3333 0.4219
Se 0.6667 0.3333 0.1932
Se 0.6667 0.3333 0.2749

Largest 10 diffraction maxima, in order of falling intensity, 2θ from 10° to 90°:
two_theta	Rel. int.	hkl
34.70	100	0 1 8
11.17	99	0 0 5
42.05	64	1 0 13
29.48	52	1 0 0
52.28	40	1 1 0
43.77	21	0 1 14
73.88	19	1 1 21
64.28	17	2 0 8
87.37	16	1 2 8
13.41	15	0 0 6

(6)
The following is a simulated powder X-ray diffraction pattern of TlMo3Se3. It was derived from a crystal structure in the Materials Project, relaxed with GGA-PBE, using a wavelength of 1.5418 Å.
Peak positions follow from Bragg's law for the DFT cell and can differ from measured ones.

Structure:
Cell lengths 9.2361, 9.2361, 4.5287 Å; angles 90.00, 90.00, 120.00 degrees
Fractional coordinates of all 14 atoms:
Tl 0.3333 0.6667 0.2500
Tl 0.6667 0.3333 0.7500
Mo 0.0316 0.1804 0.2500
Mo 0.1488 0.9684 0.2500
Mo 0.1804 0.1488 0.7500
Mo 0.8196 0.8512 0.2500
Mo 0.8512 0.0316 0.7500
Mo 0.9684 0.8196 0.7500
Se 0.0641 0.3574 0.7500
Se 0.2933 0.9359 0.7500
Se 0.3574 0.2933 0.2500
Se 0.6426 0.7067 0.7500
Se 0.7067 0.0641 0.2500
Se 0.9359 0.6426 0.2500

Largest 10 diffraction maxima, in order of falling intensity, 2θ from 10° to 90°:
two_theta	Rel. int.	hkl
35.71	100	2 1 1
11.06	57	1 0 0
29.80	46	2 0 1
29.55	45	2 1 0
39.81	43	0 0 2
44.02	42	2 2 1
53.91	42	3 2 1
22.56	38	1 0 1
19.22	30	1 1 0
45.53	29	3 1 1

(7)
The following is a simulated powder X-ray diffraction pattern of TlMo3Se3. It was derived from a crystal structure in the Materials Project, relaxed with GGA-PBE, using a wavelength of 1.5418 Å.
Peak positions follow from Bragg's law for the DFT cell and can differ from measured ones.

Structure:
Cell lengths 9.9054, 9.9054, 4.5160 Å; angles 90.00, 90.00, 120.00 degrees
Fractional coordinates of all 14 atoms:
Tl 0.3333 0.6667 0.2500
Tl 0.6667 0.3333 0.7500
Mo 0.0213 0.1652 0.7500
Mo 0.1439 0.9787 0.7500
Mo 0.1652 0.1439 0.2500
Mo 0.8348 0.8561 0.7500
Mo 0.8561 0.0213 0.2500
Mo 0.9787 0.8348 0.2500
Se 0.0428 0.3265 0.2500
Se 0.2837 0.9572 0.2500
Se 0.3265 0.2837 0.7500
Se 0.6735 0.7163 0.2500
Se 0.7163 0.0428 0.7500
Se 0.9572 0.6735 0.7500

Largest 10 diffraction maxima, in order of falling intensity, 2θ from 10° to 90°:
two_theta	Rel. int.	hkl
10.31	100	1 0 0
42.97	94	3 1 1
22.25	70	1 0 1
41.59	52	2 2 1
27.51	42	2 1 0
17.91	39	1 1 0
39.93	36	0 0 2
34.04	36	1 2 1
31.28	32	3 0 0
50.59	22	2 3 1

Repeat the third record exactly.
The following is a simulated powder X-ray diffraction pattern of Te2MoWSe2. It was derived from a crystal structure in the Materials Project, relaxed with GGA-PBE, using a wavelength of 1.5418 Å.
Peak positions follow from Bragg's law for the DFT cell and can differ from measured ones.

Structure:
Cell lengths 3.4376, 3.4376, 39.1411 Å; angles 90.00, 90.00, 120.00 degrees
Fractional coordinates of all 12 atoms:
Te 0.0000 0.0000 0.0000
Te 0.0000 0.0000 0.0953
Te 0.3333 0.6667 0.1883
Te 0.3333 0.6667 0.2830
Mo 0.0000 0.0000 0.2356
Mo 0.0000 0.0000 0.8599
W 0.3333 0.6667 0.0477
W 0.3333 0.6667 0.4235
Se 0.0000 0.0000 0.3815
Se 0.0000 0.0000 0.4654
Se 0.3333 0.6667 0.8180
Se 0.3333 0.6667 0.9016

Largest 10 diffraction maxima, in order of falling intensity, 2θ from 10° to 90°:
two_theta	Rel. int.	hkl
11.30	100	0 0 5
35.29	93	1 0 8
42.71	60	1 0 13
30.04	51	1 0 0
53.31	38	1 1 0
44.45	19	0 1 14
36.58	17	1 0 9
75.20	17	1 1 21
32.17	16	1 0 5
65.55	15	0 2 8